Record 1
For La3InIr, a crystal structure in Alexandria, relaxed with PBE gives the theoretical powder diffractogram in this record (Cu Ka).
Peak positions follow from Bragg's law for the DFT cell and can differ from measured ones.

Top 12 peaks for 2θ = 15–90°, sorted by position:
Position (°2θ)	Rel. int.
18.88	13
30.17	54
31.25	12
33.02	100
36.77	24
45.33	17
46.10	25
50.24	10
57.21	17
58.97	19
61.43	12
69.26	12

Cell and atoms:
```
10
Lattice="5.4261 0.0000 0.0000 -2.7130 4.6991 0.0000 0.0000 0.0000 11.4483" Properties=species:S:1:pos:R:3 pbc="T T T"
La 0.0000 0.0000 2.8621
La 0.0000 0.0000 8.5862
La 0.0000 3.1327 0.7822
La 0.0000 3.1327 4.9419
La 2.7130 1.5664 6.5064
La 2.7130 1.5664 10.6660
In 0.0000 3.1327 8.5862
In 2.7130 1.5664 2.8621
Ir 0.0000 0.0000 0.0000
Ir 0.0000 0.0000 5.7241
```



Record 2
For LaInIr2, a crystal structure in Alexandria, relaxed with PBE gives the theoretical powder diffractogram in this record (Cu Ka).
Peak positions follow from Bragg's law for the DFT cell and can differ from measured ones.

Top 12 peaks for 2θ = 15–90°, sorted by position:
Position (°2θ)	Rel. int.
17.27	19
23.52	27
31.89	100
34.23	30
40.63	78
41.26	47
43.23	31
44.53	29
62.31	28
63.80	20
67.94	21
84.01	18

Cell and atoms:
```
4
Lattice="4.1852 0.0000 0.0000 0.0000 2.0346 5.1338 0.0000 -2.0346 5.1338" Properties=species:S:1:pos:R:3 pbc="T T T"
La 0.0000 0.0000 0.0000
In 2.0926 0.0000 7.2141
Ir 0.0000 0.0000 2.8215
Ir 2.0926 0.0000 4.3174
```



Record 3
For La5In2Ir2, a crystal structure in Alexandria, relaxed with PBE gives the theoretical powder diffractogram in this record (Cu Ka).
Peak positions follow from Bragg's law for the DFT cell and can differ from measured ones.

Top 12 peaks for 2θ = 15–90°, sorted by position:
Position (°2θ)	Rel. int.
28.69	79
29.73	61
31.65	32
32.54	29
33.38	68
34.14	100
36.16	59
38.34	51
43.91	25
60.95	23
61.09	21
64.21	23

Cell and atoms:
```
18
Lattice="8.2482 -3.6952 0.0000 8.2482 3.6952 0.0000 0.0000 0.0000 8.7780" Properties=species:S:1:pos:R:3 pbc="T T T"
La 0.0000 0.0000 0.0000
La 6.3030 2.5305 5.9614
La 6.3030 1.1646 1.5725
La 10.1934 2.5305 5.9614
La 10.1934 1.1646 1.5725
La 8.2482 0.0000 4.3890
La 6.3030 -1.1646 7.2055
La 6.3030 -2.5305 2.8165
La 10.1934 -1.1646 7.2055
La 10.1934 -2.5305 2.8165
In 3.5561 0.0000 0.0000
In 4.6921 0.0000 4.3890
In 11.8042 0.0000 4.3890
In 12.9403 0.0000 0.0000
Ir 8.2482 2.6940 3.3281
Ir 8.2482 1.0012 7.7170
Ir 8.2482 -1.0012 1.0609
Ir 8.2482 -2.6940 5.4499
```



Record 4
For La11In9Ir4, a crystal structure in Alexandria, relaxed with PBE gives the theoretical powder diffractogram in this record (Cu Ka).
Peak positions follow from Bragg's law for the DFT cell and can differ from measured ones.

Top 12 peaks for 2θ = 15–90°, sorted by position:
Position (°2θ)	Rel. int.
30.17	24
31.24	28
32.88	100
33.02	100
33.55	71
35.14	52
36.31	24
36.41	25
46.37	34
58.45	31
60.31	22
77.34	17

Cell and atoms:
```
24
Lattice="7.5864 -11.2861 0.0000 7.5864 11.2861 0.0000 0.0000 0.0000 3.9160" Properties=species:S:1:pos:R:3 pbc="T T T"
La 0.0000 0.0000 0.0000
La 3.7693 3.8291 0.0000
La 7.5864 7.6371 0.0000
La 4.7571 0.0000 0.0000
La 7.5864 2.8201 0.0000
La 3.7693 -3.8291 0.0000
La 11.4036 3.8291 0.0000
La 7.5864 -2.8201 0.0000
La 10.4157 0.0000 0.0000
La 7.5864 -7.6371 0.0000
La 11.4036 -3.8291 0.0000
In 2.2603 1.5678 1.9580
In 6.0540 5.3245 1.9580
In 2.2603 -1.5678 1.9580
In 9.1188 5.3245 1.9580
In 7.5864 0.0000 1.9580
In 6.0540 -5.3245 1.9580
In 12.9126 1.5678 1.9580
In 9.1188 -5.3245 1.9580
In 12.9126 -1.5678 1.9580
Ir 5.2271 2.3108 1.9580
Ir 5.2271 -2.3108 1.9580
Ir 9.9457 2.3108 1.9580
Ir 9.9457 -2.3108 1.9580
```



Record 5
For La5InIr, a crystal structure in Alexandria, relaxed with PBE gives the theoretical powder diffractogram in this record (Cu Ka).
Peak positions follow from Bragg's law for the DFT cell and can differ from measured ones.

Top 12 peaks for 2θ = 15–90°, sorted by position:
Position (°2θ)	Rel. int.
28.34	37
29.13	41
29.51	87
29.77	55
31.07	100
33.12	19
36.40	25
37.05	29
39.24	37
46.74	22
47.23	23
61.15	26

Cell and atoms:
```
14
Lattice="5.1831 -3.8232 0.0000 5.1831 3.8232 0.0000 -3.5354 0.0000 11.4846" Properties=species:S:1:pos:R:3 pbc="T T T"
La 2.5315 3.7106 8.6134
La 1.9275 1.5007 1.5583
La 2.3674 1.3207 5.1542
La 0.1598 -1.5007 7.3006
La 6.2312 1.3207 0.5880
La 0.5996 -1.3207 10.8965
La 6.6710 1.5007 4.1840
La 4.4634 -1.3207 6.3303
La 4.9033 -1.5007 9.9263
La 4.2993 -3.7106 2.8711
In 2.5315 0.4203 8.6134
In 4.2993 -0.4203 2.8711
Ir 0.0000 0.0000 0.0000
Ir -1.7677 0.0000 5.7423
```



Record 6
For La2In8Ir, a crystal structure in Alexandria, relaxed with PBE gives the theoretical powder diffractogram in this record (Cu Ka).
Peak positions follow from Bragg's law for the DFT cell and can differ from measured ones.

Top 12 peaks for 2θ = 15–90°, sorted by position:
Position (°2θ)	Rel. int.
18.66	9
19.98	9
30.20	24
34.31	100
36.03	14
37.83	56
39.42	13
53.24	18
54.58	19
66.08	39
67.15	9
88.59	7

Cell and atoms:
```
11
Lattice="4.7558 0.0000 0.0000 0.0000 4.7558 0.0000 0.0000 0.0000 12.4648" Properties=species:S:1:pos:R:3 pbc="T T T"
La 0.0000 0.0000 2.4342
La 0.0000 0.0000 10.0306
In 0.0000 2.3779 0.0000
In 0.0000 2.3779 4.7548
In 0.0000 2.3779 7.7100
In 2.3779 0.0000 0.0000
In 2.3779 0.0000 4.7548
In 2.3779 0.0000 7.7100
In 2.3779 2.3779 2.4081
In 2.3779 2.3779 10.0567
Ir 0.0000 0.0000 6.2324
```



Record 7
For La3InIr, a crystal structure in Alexandria, relaxed with PBE gives the theoretical powder diffractogram in this record (Cu Ka).
Peak positions follow from Bragg's law for the DFT cell and can differ from measured ones.

Top 12 peaks for 2θ = 15–90°, sorted by position:
Position (°2θ)	Rel. int.
26.75	50
28.58	36
28.79	44
30.01	44
33.46	100
34.79	43
35.23	30
35.76	32
40.41	30
47.66	30
48.27	25
52.85	28

Cell and atoms:
```
10
Lattice="5.9724 0.0000 0.0000 0.0000 7.6321 0.0000 -2.4753 0.0000 6.8447" Properties=species:S:1:pos:R:3 pbc="T T T"
La 0.5234 0.0000 0.9728
La 0.1051 1.7754 4.8788
La 0.1056 5.8682 4.8803
La 3.3916 2.0522 1.9645
La 3.3921 5.5914 1.9659
La 2.9737 3.8161 5.8719
In 0.4548 3.8237 2.1655
In 3.0424 0.0076 4.6793
Ir -0.1604 3.8223 6.7636
Ir 3.6575 0.0062 0.0812
```



Record 8
For Li3InIr, a crystal structure in Alexandria, relaxed with PBE gives the theoretical powder diffractogram in this record (Cu Ka).
Peak positions follow from Bragg's law for the DFT cell and can differ from measured ones.

Top 12 peaks for 2θ = 15–90°, sorted by position:
Position (°2θ)	Rel. int.
19.88	100
22.38	23
23.24	77
30.10	20
35.87	23
36.90	24
39.80	73
40.38	19
41.35	35
49.52	39
65.74	17
67.12	18

Cell and atoms:
```
5
Lattice="0.0000 4.4670 3.9731 2.5032 0.0000 3.9731 2.5032 4.4670 0.0000" Properties=species:S:1:pos:R:3 pbc="T T T"
Li 0.0000 0.0000 0.0000
Li 1.2516 2.2335 1.1153
Li 3.7547 6.7005 5.0885
In 2.5032 4.4670 2.7428
Ir 2.5032 4.4670 5.3998
```



Record 9
For Li2InIr, a crystal structure in Alexandria, relaxed with PBE gives the theoretical powder diffractogram in this record (Cu Ka).
Peak positions follow from Bragg's law for the DFT cell and can differ from measured ones.

Top 12 peaks for 2θ = 15–90°, sorted by position:
Position (°2θ)	Rel. int.
19.64	100
34.79	48
39.89	19
40.26	74
40.73	18
45.61	23
53.95	28
58.33	12
62.02	9
72.69	13
73.83	12
76.89	10

Cell and atoms:
```
4
Lattice="3.1715 0.0000 0.0000 0.0000 4.4302 0.0000 0.0000 0.0000 4.5197" Properties=species:S:1:pos:R:3 pbc="T T T"
Li 0.0000 0.0000 0.0000
Li 1.5857 2.2151 0.0000
In 0.0000 2.2151 2.2599
Ir 1.5857 0.0000 2.2599
```



Record 10
For Li3In3Ir2, a crystal structure in Alexandria, relaxed with PBE gives the theoretical powder diffractogram in this record (Cu Ka).
Peak positions follow from Bragg's law for the DFT cell and can differ from measured ones.

Top 12 peaks for 2θ = 15–90°, sorted by position:
Position (°2θ)	Rel. int.
22.88	6
23.91	66
30.22	3
36.21	2
39.54	100
46.74	33
54.69	3
57.16	17
62.84	14
71.73	33
76.84	10
85.15	11

Cell and atoms:
```
8
Lattice="2.2791 1.3158 7.4432 -2.2791 1.3158 7.4432 0.0000 -2.6316 7.4432" Properties=species:S:1:pos:R:3 pbc="T T T"
Li 0.0000 0.0000 0.0000
Li 0.0000 0.0000 2.7740
Li 0.0000 0.0000 14.0143
In 0.0000 0.0000 5.7303
In 0.0000 0.0000 11.2363
In 0.0000 0.0000 16.6711
Ir 0.0000 0.0000 8.4702
Ir 0.0000 0.0000 19.5292
```



Record 11
For Li3In4Ir, a crystal structure in Alexandria, relaxed with PBE gives the theoretical powder diffractogram in this record (Cu Ka).
Peak positions follow from Bragg's law for the DFT cell and can differ from measured ones.

Top 12 peaks for 2θ = 15–90°, sorted by position:
Position (°2θ)	Rel. int.
20.01	76
26.54	20
26.77	20
27.77	18
28.11	32
38.06	100
38.79	95
38.95	93
47.77	19
69.14	33
69.47	33
70.93	31

Cell and atoms:
```
8
Lattice="3.3298 -3.3582 0.0000 3.3298 3.3582 0.0000 -3.3200 0.0000 6.4258" Properties=species:S:1:pos:R:3 pbc="T T T"
Li 0.0000 0.0000 0.0000
Li 0.0103 0.0000 3.3744
Li 3.3292 0.0000 3.0514
In 1.6709 1.6840 1.5887
In 1.6686 1.6840 4.8370
In 1.6709 -1.6840 1.5887
In 1.6686 -1.6840 4.8370
Ir 3.3298 0.0000 0.0000
```



Record 12
For Li5In6Ir, a crystal structure in Alexandria, relaxed with PBE gives the theoretical powder diffractogram in this record (Cu Ka).
Peak positions follow from Bragg's law for the DFT cell and can differ from measured ones.

Top 12 peaks for 2θ = 15–90°, sorted by position:
Position (°2θ)	Rel. int.
18.27	22
19.98	21
24.00	30
26.49	37
26.84	36
27.05	36
38.07	100
38.22	99
38.47	97
47.32	29
54.55	19
68.72	34

Cell and atoms:
```
12
Lattice="4.6853 0.0000 0.0000 0.0000 6.7294 0.0000 -2.2894 0.0000 7.0120" Properties=species:S:1:pos:R:3 pbc="T T T"
Li 0.0000 0.0000 0.0000
Li 0.0337 0.0000 4.5621
Li 0.0342 3.3647 4.7896
Li 2.3617 3.3647 2.2223
Li 2.3622 0.0000 2.4499
In 0.0173 1.7163 2.3293
In 0.0173 5.0131 2.3293
In 2.3427 1.6575 0.0000
In 2.3427 5.0719 0.0000
In 2.3787 1.7163 4.6826
In 2.3787 5.0131 4.6826
Ir 0.0000 3.3647 0.0000
```



Record 13
For Li3In6Ir, a crystal structure in Alexandria, relaxed with PBE gives the theoretical powder diffractogram in this record (Cu Ka).
Peak positions follow from Bragg's law for the DFT cell and can differ from measured ones.

Top 12 peaks for 2θ = 15–90°, sorted by position:
Position (°2θ)	Rel. int.
16.30	59
16.58	27
23.33	100
25.95	89
33.51	33
35.04	60
37.09	68
37.48	90
39.12	37
43.10	40
44.06	52
44.51	29

Cell and atoms:
```
20
Lattice="5.4380 3.1397 4.3312 -5.4380 3.1397 4.3312 0.0000 -6.2793 4.3312" Properties=species:S:1:pos:R:3 pbc="T T T"
Li -3.1517 0.6348 5.5238
Li -2.1256 -2.4120 7.4697
Li 1.0261 -3.0468 5.5238
Li -1.0261 3.0468 7.4697
Li 2.1256 2.4120 5.5238
Li 3.1517 -0.6348 7.4697
In -4.7203 -1.1716 7.0295
In -1.3456 -4.6737 5.9640
In -1.2861 -1.5775 4.7212
In -3.3748 3.5022 5.9640
In -0.7230 1.9026 4.7212
In -2.0092 0.3251 8.2724
In 2.0092 -0.3251 4.7212
In 0.7231 -1.9026 8.2724
In 3.3748 -3.5022 7.0296
In 1.2861 1.5775 8.2724
In 1.3456 4.6737 7.0295
In 4.7203 1.1716 5.9640
Ir 0.0000 0.0000 0.0000
Ir 0.0000 0.0000 6.4968
```